The following is a theoretical powder XRD pattern of CoH4SeClO6. It was derived from a crystal structure in Alexandria, relaxed with GGA+U, using CuKα.
Kinematic intensities with the Lorentz-polarization factor, no thermal factor.

Cell and atoms:
Lattice parameters (Å, degrees): 6.7734 7.2507 7.8858 68.22 72.64 78.84
Space group P-1 (No. 2)
Inequivalent atoms, fractional coordinates:
Co 0.0000 0.0000 0.0000
Co 0.5000 0.5000 0.5000
H 0.0742 0.8729 0.3531
H 0.1425 0.9936 0.6397
H 0.1830 0.3131 0.5394
H 0.2875 0.4075 0.3210
Se 0.2473 0.2587 0.9800
Cl 0.3375 0.8172 0.4698
O 0.0130 0.7260 0.0171
O 0.0586 0.1017 0.6856
O 0.2565 0.4296 0.4434
O 0.2807 0.2728 0.1708
O 0.2861 0.0160 0.9756
O 0.3815 0.4214 0.7886

Top 8 peaks for 2θ = 15–90°, low angle first:
2theta	d [Å]	I_rel
16.13	5.495	45
17.05	5.201	55
20.00	4.440	100
23.09	3.851	30
24.17	3.682	25
25.11	3.546	72
26.27	3.392	27
27.38	3.258	26